Diffraction record for Ba2SmInSe5. The PXRD pattern is computed, not measured: it uses a DFT-relaxed cell (PBE, the Materials Project) and Cu Kα X-rays.
Lines closer than 0.1° are merged.

Atomic structure:
```
data_Ba2SmInSe5
_cell_length_a 4.352
_cell_length_b 19.161
_cell_length_c 13.505
_cell_angle_alpha 90.00
_cell_angle_beta 90.00
_cell_angle_gamma 90.00
_symmetry_space_group_name_H-M 'C m c 21'
_symmetry_Int_Tables_number 36
loop_
_symmetry_equiv_pos_as_xyz
'x,y,z'
'-x,-y,z+1/2'
'-x,y,z'
'x,-y,z+1/2'
'x+1/2,y+1/2,z'
'-x+1/2,-y+1/2,z+1/2'
'-x+1/2,y+1/2,z'
'x+1/2,-y+1/2,z+1/2'
loop_
_atom_site_label
_atom_site_fract_x
_atom_site_fract_y
_atom_site_fract_z
Ba1 0.000 0.116 0.000
Ba2 0.000 0.131 0.633
Sm1 0.000 0.211 0.336
In1 0.000 0.448 0.755
Se1 0.000 0.048 0.368
Se2 0.000 0.291 0.979
Se3 0.000 0.314 0.686
Se4 0.000 0.358 0.319
Se5 0.000 0.495 0.084
```

The 8 most intense peaks (2θ from 10° to 80°), in order of falling intensity:
2theta, I_rel, index
28.91, 100.0, 1 1 3
28.73, 59.0, 0 6 1
33.89, 46.6, 1 5 2
41.20, 30.2, 0 2 6
41.50, 29.0, 2 0 0
24.77, 25.7, 1 1 2
51.25, 23.1, 2 6 1
47.59, 20.2, 1 7 4

Diffraction record for Ba4In2Te2Se5. The PXRD pattern is computed, not measured: it uses a DFT-relaxed cell (PBE, the Materials Project) and Cu Kα X-rays.
Lines closer than 0.1° are merged.

Atomic structure:
```
data_Ba4In2Te2Se5
_cell_length_a 8.762
_cell_length_b 8.762
_cell_length_c 11.492
_cell_angle_alpha 90.00
_cell_angle_beta 90.00
_cell_angle_gamma 90.00
_symmetry_space_group_name_H-M 'P 4/m b m'
_symmetry_Int_Tables_number 127
_symmetry_space_group_name_Hall '-P 4 2ab'
loop_
_atom_site_label
_atom_site_fract_x
_atom_site_fract_y
_atom_site_fract_z
Ba1 0.000 0.000 0.215
Ba2 0.157 0.343 0.500
In1 0.000 0.500 0.155
Te1 0.180 0.320 0.000
Se1 0.000 0.000 0.500
Se2 0.159 0.659 0.302
```

The 8 most intense peaks (2θ from 10° to 80°), in order of falling intensity:
2theta, I_rel, index
27.55, 100.0, 2 1 2
45.49, 61.5, 3 1 4
31.01, 45.0, 2 0 3
28.82, 41.0, 2 2 0
25.57, 30.0, 2 0 2
32.31, 28.0, 3 1 0
46.34, 21.4, 4 2 0
70.76, 15.3, 5 3 4

Diffraction record for BaZnIn3. The PXRD pattern is computed, not measured: it uses a DFT-relaxed cell (PBE, the Materials Project) and Cu Kα X-rays.
Lines closer than 0.1° are merged.

Atomic structure:
```
data_BaZnIn3
_cell_length_a 4.831
_cell_length_b 4.831
_cell_length_c 12.197
_cell_angle_alpha 90.00
_cell_angle_beta 90.00
_cell_angle_gamma 90.00
_symmetry_space_group_name_H-M 'I 4 m m'
_symmetry_Int_Tables_number 107
_symmetry_space_group_name_Hall 'I 4 -2'
loop_
_atom_site_label
_atom_site_fract_x
_atom_site_fract_y
_atom_site_fract_z
Ba1 0.000 0.000 0.000
Zn1 0.000 0.000 0.612
In1 0.000 0.000 0.390
In2 0.000 0.500 0.240
```

The 8 most intense peaks (2θ from 10° to 80°), in order of falling intensity:
2theta, I_rel, index
29.98, 100.0, 1 1 2
37.22, 52.4, 2 0 0
28.70, 35.9, 1 0 3
41.47, 24.0, 1 0 5
62.69, 23.4, 3 1 2
39.62, 21.6, 1 1 4
56.93, 18.5, 2 1 5
53.66, 17.7, 2 2 0

Diffraction record for Ba2ZnIn. The PXRD pattern is computed, not measured: it uses a DFT-relaxed cell (PBE, the Materials Project) and Cu Kα X-rays.
Lines closer than 0.1° are merged.

Atomic structure:
```
data_Ba2ZnIn
_cell_length_a 8.400
_cell_length_b 8.400
_cell_length_c 8.400
_cell_angle_alpha 90.00
_cell_angle_beta 90.00
_cell_angle_gamma 90.00
_symmetry_space_group_name_H-M 'F m -3 m'
_symmetry_Int_Tables_number 225
_symmetry_space_group_name_Hall '-F 4 2 3'
loop_
_atom_site_label
_atom_site_fract_x
_atom_site_fract_y
_atom_site_fract_z
Ba1 0.250 0.250 0.250
Zn1 0.000 0.000 0.000
In1 0.000 0.000 0.500
```

The 8 most intense peaks (2θ from 10° to 80°), in order of falling intensity:
2theta, I_rel, index
30.09, 100.0, 2 2 0
53.44, 38.7, 4 2 2
43.07, 18.5, 4 0 0
70.96, 16.5, 6 2 0
62.55, 12.0, 4 4 0
78.96, 4.1, 4 4 4
21.15, 3.2, 2 0 0
18.29, 2.3, 1 1 1

Diffraction record for Ba3LaIrRuO9. The PXRD pattern is computed, not measured: it uses a DFT-relaxed cell (PBE, the Materials Project) and Cu Kα X-rays.
Lines closer than 0.1° are merged.

Atomic structure:
```
data_Ba3LaIrRuO9
_cell_length_a 6.0048
_cell_length_b 6.0048
_cell_length_c 15.2290
_cell_angle_alpha 90.00
_cell_angle_beta 90.00
_cell_angle_gamma 120.00
_symmetry_space_group_name_H-M 'P 63 m c'
_symmetry_Int_Tables_number 186
_symmetry_space_group_name_Hall 'P 6c -2c'
loop_
_atom_site_label
_atom_site_fract_x
_atom_site_fract_y
_atom_site_fract_z
Ba1 0.0000 0.0000 0.0000
Ba2 0.3333 0.6667 0.1445
Ba3 0.3333 0.6667 0.8564
La1 0.0000 0.0000 0.2512
Ir1 0.3333 0.6667 0.4184
Ru1 0.3333 0.6667 0.5840
O1 0.0181 0.5090 0.5004
O2 0.1780 0.3559 0.3438
O3 0.1780 0.3561 0.6555
```

The 8 most intense peaks (2θ from 10° to 80°), in order of falling intensity:
2theta, I_rel, index
29.76, 100.0, 1 1 0
29.07, 66.8, 1 0 4
42.08, 37.3, 2 0 4
52.39, 24.5, 2 1 4
24.51, 20.4, 1 0 3
52.81, 20.2, 3 0 0
45.18, 18.8, 1 0 7
61.80, 18.1, 2 2 0

Diffraction record for Ba4LiIr3O12. The PXRD pattern is computed, not measured: it uses a DFT-relaxed cell (PBE, the Materials Project) and Cu Kα X-rays.
Lines closer than 0.1° are merged.

Atomic structure:
```
data_Ba4LiIr3O12
_cell_length_a 30.629
_cell_length_b 5.851
_cell_length_c 10.126
_cell_angle_alpha 90.00
_cell_angle_beta 109.28
_cell_angle_gamma 90.00
_symmetry_space_group_name_H-M 'C 1 2/m 1'
_symmetry_Int_Tables_number 12
loop_
_symmetry_equiv_pos_as_xyz
'x,y,z'
'-x,-y,-z'
'-x,y,-z'
'x,-y,z'
'x+1/2,y+1/2,z'
'-x+1/2,-y+1/2,-z'
'-x+1/2,y+1/2,-z'
'x+1/2,-y+1/2,z'
loop_
_atom_site_label
_atom_site_fract_x
_atom_site_fract_y
_atom_site_fract_z
Ba1 0.042 0.000 0.201
Ba2 0.044 0.500 0.721
Ba3 0.125 0.500 0.126
Ba4 0.128 0.000 0.629
Ba5 0.209 0.500 0.878
Ba6 0.211 0.000 0.376
Li1 0.000 0.500 0.000
Li2 0.249 0.500 0.248
Ir1 0.000 0.000 0.500
Ir2 0.077 0.500 0.413
Ir3 0.080 0.000 0.911
Ir4 0.170 0.000 0.003
Ir5 0.171 0.500 0.505
O1 0.040 0.500 0.217
O2 0.041 0.239 0.459
O3 0.042 0.000 0.702
O4 0.042 0.238 0.951
O5 0.122 0.274 0.384
O6 0.123 0.000 0.109
O7 0.125 0.235 0.879
O8 0.125 0.500 0.612
O9 0.206 0.500 0.380
O10 0.207 0.237 0.121
O11 0.208 0.000 0.884
O12 0.208 0.261 0.620
```

The 8 most intense peaks (2θ from 10° to 80°), in order of falling intensity:
2theta, I_rel, index
30.57, 100.0, 0 2 0
30.38, 41.7, 6 0 2
18.56, 39.7, 3 1 -1
35.76, 37.7, 12 0 -2
47.74, 21.7, 12 2 -2
57.76, 20.9, 15 1 -5
54.34, 20.7, 3 3 -3
63.64, 17.9, 0 4 0

Diffraction record for Ba2LiTbIrO6. The PXRD pattern is computed, not measured: it uses a DFT-relaxed cell (PBE, the Materials Project) and Cu Kα X-rays.
Lines closer than 0.1° are merged.

Atomic structure:
```
data_Ba2LiTbIrO6
_cell_length_a 5.906
_cell_length_b 6.043
_cell_length_c 8.898
_cell_angle_alpha 90.00
_cell_angle_beta 90.00
_cell_angle_gamma 90.00
_symmetry_space_group_name_H-M 'I m m m'
_symmetry_Int_Tables_number 71
_symmetry_space_group_name_Hall '-I 2 2'
loop_
_atom_site_label
_atom_site_fract_x
_atom_site_fract_y
_atom_site_fract_z
Ba1 0.000 0.000 0.206
Li1 0.000 0.000 0.500
Tb1 0.000 0.500 0.000
Ir1 0.000 0.500 0.500
O1 0.000 0.500 0.268
O2 0.230 0.250 0.500
```

The 8 most intense peaks (2θ from 10° to 80°), in order of falling intensity:
2theta, I_rel, index
29.15, 100.0, 1 1 2
42.82, 31.2, 2 2 0
29.56, 28.8, 0 2 0
30.27, 27.3, 2 0 0
52.20, 20.3, 1 3 2
53.08, 19.3, 3 1 2
60.44, 13.4, 2 2 4
40.55, 11.5, 0 0 4

Diffraction record for Ba2LiTbIrO6. The PXRD pattern is computed, not measured: it uses a DFT-relaxed cell (PBE, the Materials Project) and Cu Kα X-rays.
Lines closer than 0.1° are merged.

Atomic structure:
```
data_Ba2LiTbIrO6
_cell_length_a 10.217
_cell_length_b 5.892
_cell_length_c 6.355
_cell_angle_alpha 90.00
_cell_angle_beta 122.45
_cell_angle_gamma 90.00
_symmetry_space_group_name_H-M 'C 1 m 1'
_symmetry_Int_Tables_number 8
loop_
_symmetry_equiv_pos_as_xyz
'x,y,z'
'x,-y,z'
'x+1/2,y+1/2,z'
'x+1/2,-y+1/2,z'
loop_
_atom_site_label
_atom_site_fract_x
_atom_site_fract_y
_atom_site_fract_z
Ba1 0.000 0.000 0.000
Ba2 0.030 0.500 0.591
Li1 0.371 0.000 0.113
Tb1 0.218 0.000 0.655
Ir1 0.235 0.500 0.205
O1 0.230 0.262 0.429
O2 0.239 0.253 0.970
O3 0.468 0.500 0.430
O4 0.492 0.000 0.968
```

The 8 most intense peaks (2θ from 10° to 80°), in order of falling intensity:
2theta, I_rel, index
30.32, 100.0, 0 2 0
28.25, 83.2, 1 1 1
41.92, 45.2, 4 0 0
52.60, 30.1, 4 2 0
45.74, 29.7, 3 1 1
20.60, 25.8, 2 0 0
53.87, 20.3, 6 0 -2
63.08, 17.6, 0 4 0

Diffraction record for Ba2LiTbIrO6. The PXRD pattern is computed, not measured: it uses a DFT-relaxed cell (PBE, the Materials Project) and Cu Kα X-rays.
Lines closer than 0.1° are merged.

Atomic structure:
```
data_Ba2LiTbIrO6
_cell_length_a 5.8891
_cell_length_b 5.8891
_cell_length_c 16.1642
_cell_angle_alpha 90.00
_cell_angle_beta 90.00
_cell_angle_gamma 120.00
_symmetry_space_group_name_H-M 'R 3 m'
_symmetry_Int_Tables_number 160
_symmetry_space_group_name_Hall 'R 3 -2"'
loop_
_atom_site_label
_atom_site_fract_x
_atom_site_fract_y
_atom_site_fract_z
Ba1 0.0000 0.0000 0.0000
Ba2 0.0000 0.0000 0.4589
Li1 0.0000 0.0000 0.8403
Tb1 0.0000 0.0000 0.2163
Ir1 0.0000 0.0000 0.7012
O1 0.0146 0.5073 0.4524
O2 0.1747 0.3495 0.2952
```

The 8 most intense peaks (2θ from 10° to 80°), in order of falling intensity:
2theta, I_rel, index
30.36, 100.0, 1 1 0
28.17, 93.7, 1 0 4
41.89, 49.7, 0 2 4
52.60, 33.9, 2 1 4
53.93, 20.3, 3 0 0
63.15, 17.5, 2 2 0
20.59, 17.0, 0 1 2
48.48, 15.2, 0 1 8